1.
Diffraction record for Rb3Pr. The XRD peak list is computed, not measured: it uses a DFT-relaxed cell (GGA-PBE, Alexandria) and Cu Ka.
Neutral-atom scattering factors, no anomalous dispersion.

Structure:
```
Rb3Pr
1.0
10.2467 0.0000 0.0000
0.0000 10.2467 0.0000
0.0000 0.0000 10.2467
Rb Pr
12 4
Cartesian
0.0000 0.0000 0.0000
0.0000 5.1233 5.1233
2.5617 2.5617 2.5617
2.5617 2.5617 7.6850
2.5617 7.6850 2.5617
2.5617 7.6850 7.6850
5.1233 0.0000 5.1233
5.1233 5.1233 0.0000
7.6850 2.5617 2.5617
7.6850 2.5617 7.6850
7.6850 7.6850 2.5617
7.6850 7.6850 7.6850
0.0000 0.0000 5.1233
0.0000 5.1233 0.0000
5.1233 0.0000 0.0000
5.1233 5.1233 5.1233
```

Peak list (6 most intense, 10 to 80 degrees two-theta, sorted by position)
two_theta	I (rel.)
24.57	100
35.03	20
43.26	43
50.38	14
56.83	19
68.53	22

***

2.
Diffraction record for La8PrDy2. The XRD peak list is computed, not measured: it uses a DFT-relaxed cell (GGA-PBE, Alexandria) and Cu Ka.
Neutral-atom scattering factors, no anomalous dispersion.

Structure:
```
La8PrDy2
1.0
5.2547 -6.9136 0.0000
5.2547 6.9136 0.0000
-0.0136 0.0000 5.5962
La Pr Dy
8 1 2
Cartesian
1.7337 0.0000 5.5958
3.5044 1.8678 2.7940
5.2547 3.5611 0.0000
3.5044 -1.8678 2.7940
6.9916 1.8678 2.8022
5.2547 -3.5611 0.0000
6.9916 -1.8678 2.8022
8.7623 0.0000 0.0004
5.2547 0.0000 0.0000
5.2480 5.2876 2.7981
5.2480 -5.2876 2.7981
```

Peak list (6 most intense, 10 to 80 degrees two-theta, sorted by position)
two_theta	I (rel.)
30.39	100
30.80	83
31.99	45
32.09	45
45.94	33
61.63	27

***

3.
Diffraction record for Tm2Th2Tl7. The XRD peak list is computed, not measured: it uses a DFT-relaxed cell (GGA-PBE, Alexandria) and Cu Ka.
Neutral-atom scattering factors, no anomalous dispersion.

Structure:
```
Tm2Th2Tl7
1.0
6.2824 -3.4069 0.0000
6.2824 3.4069 0.0000
-2.6063 0.0000 8.1512
Tm Th Tl
2 2 7
Cartesian
6.2824 1.7293 0.0000
6.2824 -1.7293 0.0000
1.6297 0.0000 4.0721
8.3287 0.0000 4.0791
2.8170 1.6309 1.4310
-1.4901 0.0000 5.6707
2.8170 -1.6309 1.4310
4.9792 0.0000 4.0756
7.1414 1.6309 6.7203
11.4485 0.0000 2.4805
7.1414 -1.6309 6.7203
```

Peak list (6 most intense, 10 to 80 degrees two-theta, sorted by position)
two_theta	I (rel.)
28.39	100
29.86	74
31.75	48
34.66	33
39.05	58
40.26	36